Computed powder X-ray diffraction pattern
Compound: LaSm2RuO8
Radiation: λ = 1.5418 Å (Cu Kα)
Structure: a GGA-PBE-relaxed structure
Intensities are scaled so that the largest is 100.

Most intense lines, 2θ = 10–80°, low angle first:
| d (Å) | two_theta | Rel. int. | index |
| --- | --- | --- | --- |
| 3.646 | 24.4 | 100.0 | 1 0 1 |
| 2.905 | 30.8 | 89.2 | 1 2 0 |
| 2.578 | 34.8 | 24.7 | 0 0 2 |
| 1.929 | 47.1 | 51.1 | 1 2 2 |
| 1.926 | 47.2 | 17.8 | 2 2 1 |
| 1.826 | 49.9 | 9.0 | 2 0 -2 |
| 1.632 | 56.4 | 8.9 | 1 0 -3 |
| 1.583 | 58.3 | 17.3 | 1 4 1 |
| 1.544 | 59.9 | 19.7 | 0 2 3 |
| 1.452 | 64.1 | 10.2 | 0 4 2 |

Cell and atoms:
```
data_LaSm2RuO8
_space_group_name_H-M_alt 'P 1'
_space_group_IT_number 1
_space_group_name_Hall 'P 1'
_cell_length_a 5.1527
_cell_length_b 7.0303
_cell_length_c 5.1608
_cell_angle_alpha 90.00
_cell_angle_beta 90.20
_cell_angle_gamma 90.00
loop_
_atom_site_label
_atom_site_type_symbol
_atom_site_fract_x
_atom_site_fract_y
_atom_site_fract_z
_atom_site_occupancy
La1 La 0.0000 0.0000 0.0000 1
Sm1 Sm 0.5000 0.2517 0.5000 1
Sm2 Sm 0.5000 0.7483 0.5000 1
Ru1 Ru 0.0000 0.5000 0.0000 1
O1 O 0.1832 0.3001 0.1810 1
O2 O 0.1832 0.6999 0.1810 1
O3 O 0.2589 0.5000 0.7392 1
O4 O 0.3119 0.0000 0.6853 1
O5 O 0.6881 0.0000 0.3147 1
O6 O 0.7411 0.5000 0.2608 1
O7 O 0.8168 0.3001 0.8190 1
O8 O 0.8168 0.6999 0.8190 1
```